Sr4LiMn2Ga2O10: theoretical powder diffraction line list (Cu Kα, 1.54184 Å), based on a structure optimized by DFT (PBE+U).

Structure:
Unit cell a=8.031 b=8.165 c=16.232 alpha=90.00 beta=90.00 gamma=90.00
Space group Fmmm (No. 69)
Asymmetric unit:
Sr 0.000 0.235 0.146
Li 0.000 0.000 0.000
Mn 0.250 0.000 0.250
Ga 0.174 0.000 0.500
O 0.000 0.000 0.263
O 0.000 0.164 0.500
O 0.194 0.000 0.093
O 0.250 0.250 0.250

Principal peaks in the range 2θ from 10° to 90°, low angle first:
(1 1 3), 22.6 deg, I 11
(0 2 4), 31.1 deg, I 53
(2 2 0), 31.3 deg, I 100
(2 0 6), 40.2 deg, I 14
(0 4 0), 44.4 deg, I 19
(0 0 8), 44.7 deg, I 11
(4 0 0), 45.2 deg, I 10
(3 3 3), 50.7 deg, I 14
(2 4 4), 55.3 deg, I 17
(4 2 4), 55.8 deg, I 14